The following is a simulated X-ray powder pattern of Li2ScP2O8. It was derived from DFT lattice parameters and positions (PBE), using Cu Ka.

Main lines, in order of falling intensity (15° ≤ 2θ ≤ 90°):
Position (°2θ)  d [Å]  intensity
23.37  3.807  100
29.16  3.062  85
24.30  3.663  71
22.43  3.963  66
31.94  2.802  64
15.82  5.604  55
28.01  3.186  42
48.74  1.868  31
25.70  3.466  23
49.80  1.831  22
23.62  3.767  18
38.04  2.366  16

Atomic structure:
```
data_Li2ScP2O8
_chemical_formula_sum 'Li4 Sc2 P4 O16'
_cell_length_a 4.9847
_cell_length_b 8.3837
_cell_length_c 8.3499
_cell_angle_alpha 90.00
_cell_angle_beta 115.55
_cell_angle_gamma 90.00
_symmetry_space_group_name_H-M 'P 1 21/c 1'
_symmetry_Int_Tables_number 14
_symmetry_space_group_name_Hall '-P 2ybc'
loop_
_atom_site_label
_atom_site_type_symbol
_atom_site_fract_x
_atom_site_fract_y
_atom_site_fract_z
Li1 Li 0.0579 0.1296 0.1662
Sc1 Sc 0.0000 0.0000 0.5000
P1 P 0.3412 0.6557 0.7340
O1 O 0.1844 0.6803 0.1899
O2 O 0.2326 0.5578 0.8519
O3 O 0.2605 0.5566 0.5616
O4 O 0.3166 0.1746 0.6718
```

***

The following is a simulated X-ray powder pattern of Li10SiP2O12. It was derived from DFT lattice parameters and positions (PBE), using Cu Ka.

Main lines, in order of falling intensity (15° ≤ 2θ ≤ 90°):
Position (°2θ)  d [Å]  intensity
15.23  5.819  100
17.93  4.947  94
15.08  5.877  90
25.46  3.499  89
24.42  3.646  88
35.95  2.498  52
29.68  3.010  52
24.64  3.613  50
36.32  2.473  45
36.14  2.486  44
24.75  3.597  40
35.74  2.512  35

Atomic structure:
```
data_Li10SiP2O12
_chemical_formula_sum 'Li20 Si2 P4 O24'
_cell_length_a 6.9958
_cell_length_b 7.0002
_cell_length_c 10.6540
_cell_angle_alpha 90.90
_cell_angle_beta 90.28
_cell_angle_gamma 90.12
_symmetry_space_group_name_H-M 'P 1'
_symmetry_Int_Tables_number 1
_symmetry_space_group_name_Hall 'P 1'
loop_
_atom_site_label
_atom_site_type_symbol
_atom_site_fract_x
_atom_site_fract_y
_atom_site_fract_z
Li1 Li 0.0000 0.0000 0.0000
Li2 Li 0.0040 0.5026 0.1736
Li3 Li 0.0143 0.4642 0.8584
Li4 Li 0.1934 0.7298 0.4395
Li5 Li 0.2273 0.7299 0.9286
Li6 Li 0.4250 0.0137 0.9464
Li7 Li 0.4426 0.4168 0.1181
Li8 Li 0.4589 0.4919 0.6112
Li9 Li 0.4633 0.4711 0.8649
Li10 Li 0.4723 0.9850 0.4854
Li11 Li 0.5048 0.0436 0.2119
Li12 Li 0.5056 0.9780 0.7091
Li13 Li 0.5191 0.5516 0.3732
Li14 Li 0.6964 0.7244 0.1195
Li15 Li 0.7323 0.2402 0.8057
Li16 Li 0.7664 0.2911 0.3032
Li17 Li 0.9734 0.5156 0.5832
Li18 Li 0.9878 0.0070 0.7373
Li19 Li 0.9942 0.0293 0.2357
Li20 Li 0.9959 0.0089 0.5086
Si1 Si 0.2388 0.7588 0.6883
Si2 Si 0.7465 0.2592 0.0492
P1 P 0.2373 0.2832 0.3656
P2 P 0.2552 0.7649 0.1786
P3 P 0.7273 0.2449 0.5502
P4 P 0.7369 0.7395 0.8692
O1 O 0.0452 0.7830 0.6015
O2 O 0.0515 0.2947 0.2850
O3 O 0.0794 0.7614 0.2677
O4 O 0.2334 0.0863 0.4299
O5 O 0.2398 0.5878 0.0895
O6 O 0.2435 0.5550 0.7655
O7 O 0.2468 0.9520 0.0999
O8 O 0.2509 0.4561 0.4587
O9 O 0.2525 0.9333 0.7956
O10 O 0.4201 0.2945 0.2810
O11 O 0.4207 0.7738 0.5908
O12 O 0.4477 0.7639 0.2545
O13 O 0.5417 0.2598 0.9694
O14 O 0.5506 0.2201 0.6360
O15 O 0.5563 0.7391 0.9560
O16 O 0.7181 0.4433 0.4860
O17 O 0.7306 0.5543 0.7868
O18 O 0.7334 0.0849 0.4467
O19 O 0.7352 0.9295 0.7957
O20 O 0.7387 0.4484 0.1451
O21 O 0.7612 0.0665 0.1395
O22 O 0.9126 0.2318 0.6321
O23 O 0.9241 0.7368 0.9508
O24 O 0.9248 0.2514 0.9497
```

***

The following is a simulated X-ray powder pattern of LiSiPO5. It was derived from DFT lattice parameters and positions (PBE), using Cu Ka.

Main lines, in order of falling intensity (15° ≤ 2θ ≤ 90°):
Position (°2θ)  d [Å]  intensity
29.51  3.027  100
29.24  3.054  68
31.39  2.850  32
27.68  3.222  30
17.98  4.934  30
23.17  3.838  25
59.32  1.558  23
75.20  1.263  22
34.54  2.597  20
55.36  1.660  19
24.15  3.685  17
60.64  1.527  17

Atomic structure:
```
data_LiSiPO5
_chemical_formula_sum 'Li4 Si4 P4 O20'
_cell_length_a 6.6404
_cell_length_b 6.1085
_cell_length_c 7.3707
_cell_angle_alpha 90.00
_cell_angle_beta 90.00
_cell_angle_gamma 90.00
_symmetry_space_group_name_H-M 'P n m a'
_symmetry_Int_Tables_number 62
_symmetry_space_group_name_Hall '-P 2ac 2n'
loop_
_atom_site_label
_atom_site_type_symbol
_atom_site_fract_x
_atom_site_fract_y
_atom_site_fract_z
Li1 Li 0.0000 0.0000 0.0000
Si1 Si 0.1400 0.2500 0.2712
P1 P 0.1210 0.7500 0.3845
O1 O 0.0737 0.2500 0.5019
O2 O 0.1080 0.7500 0.8195
O3 O 0.1306 0.5507 0.2573
O4 O 0.1951 0.2500 0.0153
```

***

The following is a simulated X-ray powder pattern of Li3Sn3P4O16. It was derived from DFT lattice parameters and positions (PBE), using Cu Ka.

Main lines, in order of falling intensity (15° ≤ 2θ ≤ 90°):
Position (°2θ)  d [Å]  intensity
23.85  3.730  100
20.14  4.409  45
27.87  3.201  43
16.95  5.231  34
29.84  2.994  33
31.18  2.869  33
15.83  5.600  32
31.66  2.826  30
24.09  3.695  29
20.43  4.348  27
29.05  3.074  26
34.11  2.628  24

Atomic structure:
```
data_Li3Sn3P4O16
_chemical_formula_sum 'Li6 Sn6 P8 O32'
_cell_length_a 6.4569
_cell_length_b 12.3889
_cell_length_c 8.9440
_cell_angle_alpha 90.00
_cell_angle_beta 103.54
_cell_angle_gamma 90.00
_symmetry_space_group_name_H-M 'P 1 21 1'
_symmetry_Int_Tables_number 4
_symmetry_space_group_name_Hall 'P 2yb'
loop_
_atom_site_label
_atom_site_type_symbol
_atom_site_fract_x
_atom_site_fract_y
_atom_site_fract_z
Li1 Li 0.1208 0.0000 0.1576
Li2 Li 0.1605 0.6884 0.4165
Li3 Li 0.3463 0.8649 0.5904
Sn1 Sn 0.0880 0.3725 0.2177
Sn2 Sn 0.3643 0.5997 0.8221
Sn3 Sn 0.3975 0.2167 0.7646
P1 P 0.0540 0.6962 0.0980
P2 P 0.1179 0.4125 0.5796
P3 P 0.3607 0.1552 0.4117
P4 P 0.4513 0.8849 0.9157
O1 O 0.0114 0.8105 0.0292
O2 O 0.0456 0.6048 0.9838
O3 O 0.0731 0.8375 0.4488
O4 O 0.0990 0.1711 0.7901
O5 O 0.1003 0.4971 0.7047
O6 O 0.1459 0.4708 0.4309
O7 O 0.1641 0.2262 0.3353
O8 O 0.2450 0.8562 0.7914
O9 O 0.2791 0.6963 0.2203
O10 O 0.3315 0.1163 0.5745
O11 O 0.3378 0.3519 0.6418
O12 O 0.3692 0.0540 0.3118
O13 O 0.3986 0.4114 0.1935
O14 O 0.4171 0.9796 0.0163
O15 O 0.4287 0.7170 0.5696
O16 O 0.4648 0.2822 0.9862
```